Structure and calculated powder diffractogram of Tm3Co2Si2 (a PBE-relaxed structure; Cu Kα (weighted mean of Kα1 and Kα2)).

Peak list (12 most intense, 2θ from 15° to 90°, in order of rising 2θ)
d [Å]	I/Imax
3.599	80
3.215	42
2.784	54
2.703	38
2.565	82
2.543	75
2.512	40
2.480	58
2.395	47
2.275	77
2.182	100
2.074	45

Lattice parameters (Å, degrees): 5.4587 7.5098 12.4429 90.00 90.00 90.00
Element x y z (fractional)
Tm1 0.1283 0.2475 0.2500
Tm2 0.1283 0.2525 0.7500
Tm3 0.3592 0.6048 0.1014
Tm4 0.3592 0.6048 0.3986
Tm5 0.3592 0.8952 0.6014
Tm6 0.3592 0.8952 0.8986
Tm7 0.6408 0.1048 0.1014
Tm8 0.6408 0.1048 0.3986
Tm9 0.6408 0.3952 0.6014
Tm10 0.6408 0.3952 0.8986
Tm11 0.8717 0.7475 0.2500
Tm12 0.8717 0.7525 0.7500
Co1 0.1341 0.5295 0.5875
Co2 0.1341 0.5295 0.9125
Co3 0.1341 0.9705 0.0875
Co4 0.1341 0.9705 0.4125
Co5 0.8659 0.0295 0.5875
Co6 0.8659 0.0295 0.9125
Co7 0.8659 0.4705 0.0875
Co8 0.8659 0.4705 0.4125
Si1 0.1137 0.2500 0.0000
Si2 0.1137 0.2500 0.5000
Si3 0.3502 0.6013 0.7500
Si4 0.3502 0.8987 0.2500
Si5 0.6498 0.1013 0.7500
Si6 0.6498 0.3987 0.2500
Si7 0.8863 0.7500 0.0000
Si8 0.8863 0.7500 0.5000

Structure and calculated powder diffractogram of Ac3SnGe2Au6 (a PBE-relaxed structure; Cu Kα (weighted mean of Kα1 and Kα2)).

Peak list (12 most intense, 2θ from 15° to 90°, in order of rising 2θ)
d [Å]	I/Imax
4.213	18
3.394	18
3.306	17
2.809	19
2.711	100
2.601	24
2.368	63
2.005	23
1.653	28
1.510	14
1.425	13
1.411	12

Lattice parameters (Å, degrees): 6.6123 6.6123 8.4266 90.00 90.00 120.00
Element x y z (fractional)
Ac1 0.0000 0.0000 0.0000
Ac2 0.3333 0.6667 0.6513
Ac3 0.6667 0.3333 0.3487
Sn1 0.0000 0.0000 0.5000
Ge1 0.3333 0.6667 0.0496
Ge2 0.6667 0.3333 0.9504
Au1 0.1831 0.3662 0.2825
Au2 0.1831 0.8169 0.2825
Au3 0.3662 0.1831 0.7175
Au4 0.6338 0.8169 0.2825
Au5 0.8169 0.1831 0.7175
Au6 0.8169 0.6338 0.7175

Structure and calculated powder diffractogram of Tb5Dy2Er5 (a PBE-relaxed structure; Cu Kα (weighted mean of Kα1 and Kα2)).

Peak list (8 most intense, 2θ from 15° to 90°, in order of rising 2θ)
d [Å]	I/Imax
2.879	100
2.494	51
1.763	36
1.504	43
1.440	12
1.247	6
1.144	18
1.115	17

Lattice parameters (Å, degrees): 7.8829 7.8829 11.1486 115.09 115.09 36.90
Element x y z (fractional)
Tb1 0.0000 0.0000 0.0000
Tb2 0.1661 0.1661 0.4996
Tb3 0.2495 0.2495 0.2491
Tb4 0.7505 0.7505 0.7509
Tb5 0.8339 0.8339 0.5004
Dy1 0.0832 0.0832 0.7506
Dy2 0.9168 0.9168 0.2494
Er1 0.3330 0.3330 0.9996
Er2 0.4170 0.4170 0.7503
Er3 0.5000 0.5000 0.5000
Er4 0.5830 0.5830 0.2497
Er5 0.6670 0.6670 0.0004

Structure and calculated powder diffractogram of SiC (a PBE-relaxed structure; Cu Kα (weighted mean of Kα1 and Kα2)).

Peak list (12 most intense, 2θ from 15° to 90°, in order of rising 2θ)
d [Å]	I/Imax
2.679	25
2.590	100
2.533	67
2.368	99
2.099	18
1.840	9
1.616	26
1.547	60
1.428	46
1.328	11
1.320	46
1.295	16

Lattice parameters (Å, degrees): 3.0939 3.0939 10.1300 90.00 90.00 120.00
Element x y z (fractional)
Si1 0.0000 0.0000 0.0000
Si2 0.0000 0.0000 0.5000
Si3 0.3333 0.6667 0.2500
Si4 0.6667 0.3333 0.7500
C1 0.0000 0.0000 0.3126
C2 0.0000 0.0000 0.8126
C3 0.3333 0.6667 0.0619
C4 0.6667 0.3333 0.5619

Structure and calculated powder diffractogram of AcPdC2O6 (a PBE-relaxed structure; Cu Kα (weighted mean of Kα1 and Kα2)).

Peak list (12 most intense, 2θ from 15° to 90°, in order of rising 2θ)
d [Å]	I/Imax
4.393	15
4.040	86
3.176	100
2.617	40
2.395	10
2.197	28
2.020	19
1.997	26
1.963	40
1.683	25
1.599	18
1.358	11

Lattice parameters (Å, degrees): 6.6589 6.6589 6.6589 46.29 46.29 46.29
Element x y z (fractional)
Ac1 0.0000 0.0000 0.0000
Pd1 0.5000 0.5000 0.5000
C1 0.2509 0.2509 0.2509
C2 0.7491 0.7491 0.7491
O1 0.0088 0.7213 0.5137
O2 0.2787 0.4863 0.9912
O3 0.4863 0.9912 0.2787
O4 0.5137 0.0088 0.7213
O5 0.7213 0.5137 0.0088
O6 0.9912 0.2787 0.4863

Structure and calculated powder diffractogram of LaNd5Ho5 (a PBE-relaxed structure; Cu Kα (weighted mean of Kα1 and Kα2)).

Peak list (12 most intense, 2θ from 15° to 90°, in order of rising 2θ)
d [Å]	I/Imax
3.172	100
3.079	85
2.980	29
2.732	28
2.601	39
2.588	36
2.430	55
1.981	23
1.795	39
1.666	19
1.586	18
1.539	29

Lattice parameters (Å, degrees): 6.1578 6.1578 11.8406 90.00 90.00 120.00
Element x y z (fractional)
La1 0.0000 0.0000 0.0000
Nd1 0.0000 0.0000 0.3226
Nd2 0.0000 0.0000 0.6774
Nd3 0.3333 0.6667 0.1572
Nd4 0.3333 0.6667 0.8428
Nd5 0.6667 0.3333 0.0000
Ho1 0.5004 0.0008 0.5000
Ho2 0.5004 0.4996 0.5000
Ho3 0.6667 0.3333 0.2662
Ho4 0.6667 0.3333 0.7338
Ho5 0.9992 0.4996 0.5000

Structure and calculated powder diffractogram of KErGeCl6 (a PBE-relaxed structure; Cu Kα (weighted mean of Kα1 and Kα2)).

Peak list (12 most intense, 2θ from 15° to 90°, in order of rising 2θ)
d [Å]	I/Imax
5.519	35
4.534	97
3.478	27
3.105	84
2.760	21
2.447	100
2.162	28
2.008	39
1.928	19
1.916	28
1.552	20
1.228	18

Lattice parameters (Å, degrees): 6.9556 6.9556 13.7765 90.00 90.00 120.00
Element x y z (fractional)
K1 0.0000 0.0000 0.0000
K2 0.0000 0.0000 0.5000
Er1 0.3333 0.6667 0.2500
Er2 0.6667 0.3333 0.7500
Ge1 0.3333 0.6667 0.7500
Ge2 0.6667 0.3333 0.2500
Cl1 0.0067 0.3734 0.1413
Cl2 0.0067 0.6334 0.3587
Cl3 0.3666 0.3734 0.3587
Cl4 0.3666 0.9933 0.1413
Cl5 0.3734 0.0067 0.6413
Cl6 0.3734 0.3666 0.8587
Cl7 0.6266 0.6334 0.1413
Cl8 0.6266 0.9933 0.3587
Cl9 0.6334 0.0067 0.8587
Cl10 0.6334 0.6266 0.6413
Cl11 0.9933 0.3666 0.6413
Cl12 0.9933 0.6266 0.8587

Structure and calculated powder diffractogram of AcPa2N4 (a PBE-relaxed structure; Cu Kα (weighted mean of Kα1 and Kα2)).

Peak list (12 most intense, 2θ from 15° to 90°, in order of rising 2θ)
d [Å]	I/Imax
3.255	39
3.134	100
2.920	38
2.905	48
2.556	33
2.376	31
1.864	21
1.843	16
1.779	13
1.724	18
1.699	16
1.547	26

Lattice parameters (Å, degrees): 6.1051 6.1051 11.1426 90.00 90.00 146.12
Element x y z (fractional)
Ac1 0.1089 0.8911 0.7500
Ac2 0.8911 0.1089 0.2500
Pa1 0.3678 0.6322 0.5689
Pa2 0.3678 0.6322 0.9311
Pa3 0.6322 0.3678 0.0689
Pa4 0.6322 0.3678 0.4311
N1 0.0000 0.0000 0.0000
N2 0.0000 0.0000 0.5000
N3 0.2681 0.7319 0.0997
N4 0.2681 0.7319 0.4003
N5 0.4490 0.5510 0.7500
N6 0.5510 0.4490 0.2500
N7 0.7319 0.2681 0.5997
N8 0.7319 0.2681 0.9003